1.
K2Se3: simulated PXRD pattern (Cu Kα, 1.54184 Å), based on a GGA-PBE-relaxed structure.
Peak positions follow from Bragg's law for the DFT cell and can differ from measured ones.

The 10 most intense peaks (2θ = 15–90°), by angle:
two_theta  I/Imax
16.5  387
20.1  634
27.1  302
29.9  456
30.9  1000
32.9  723
35.4  409
37.0  272
38.8  240
54.9  330

Crystal structure
```
K2Se3
1.0
3.8321 -5.3644 0.0000
3.8321 5.3644 0.0000
0.0000 0.0000 7.7306
K Se
4 6
Direct
0.0878 0.9122 0.5000
0.4023 0.5977 0.7201
0.5977 0.4023 0.2201
0.9122 0.0878 0.0000
0.0915 0.4113 0.3497
0.2920 0.7080 0.1672
0.4113 0.0915 0.8497
0.5887 0.9085 0.3497
0.7080 0.2920 0.6672
0.9085 0.5887 0.8497
```

2.
K3Se: simulated PXRD pattern (Cu Kα, 1.54184 Å), based on a GGA-PBE-relaxed structure.
Peak positions follow from Bragg's law for the DFT cell and can differ from measured ones.

The 10 most intense peaks (2θ = 15–90°), by angle:
two_theta  I/Imax
15.4  380
20.4  1000
28.1  406
28.5  919
29.6  343
31.3  536
34.2  343
35.6  776
37.2  335
44.8  212

Crystal structure
```
K3Se
1.0
8.2339 0.0000 0.0000
0.0000 24.1155 0.0000
0.0000 0.0000 5.2506
K Se
12 4
Direct
0.0000 0.0717 0.2500
0.0000 0.9283 0.7500
0.2372 0.1913 0.7500
0.2372 0.8087 0.2500
0.2628 0.3087 0.2500
0.2628 0.6913 0.7500
0.5000 0.4283 0.7500
0.5000 0.5717 0.2500
0.7372 0.3087 0.2500
0.7372 0.6913 0.7500
0.7628 0.1913 0.7500
0.7628 0.8087 0.2500
0.0000 0.2058 0.2500
0.0000 0.7942 0.7500
0.5000 0.2942 0.7500
0.5000 0.7058 0.2500
```

3.
KSe3: simulated PXRD pattern (Cu Kα, 1.54184 Å), based on a GGA-PBE-relaxed structure.
Peak positions follow from Bragg's law for the DFT cell and can differ from measured ones.

The 10 most intense peaks (2θ = 15–90°), by angle:
two_theta  I/Imax
16.6  752
27.6  988
31.6  1000
33.5  372
38.8  253
40.4  455
44.7  275
45.8  450
55.7  317
58.0  427

Crystal structure
```
KSe3
1.0
10.6985 0.0000 0.0000
0.0000 8.1176 0.0000
0.0000 0.0000 5.8777
K Se
4 12
Direct
0.0352 0.2500 0.1392
0.4648 0.7500 0.6392
0.5352 0.2500 0.3608
0.9648 0.7500 0.8608
0.1308 0.7500 0.3711
0.2488 0.0016 0.3838
0.2488 0.4984 0.3838
0.2512 0.5016 0.8838
0.2512 0.9984 0.8838
0.3692 0.2500 0.8711
0.6308 0.7500 0.1289
0.7488 0.0016 0.1162
0.7488 0.4984 0.1162
0.7512 0.5016 0.6162
0.7512 0.9984 0.6162
0.8692 0.2500 0.6289
```

4.
KSe3: simulated PXRD pattern (Cu Kα, 1.54184 Å), based on a GGA-PBE-relaxed structure.
Peak positions follow from Bragg's law for the DFT cell and can differ from measured ones.

The 10 most intense peaks (2θ = 15–90°), by angle:
two_theta  I/Imax
18.4  359
18.6  453
19.2  1000
26.7  760
26.9  351
27.0  474
32.2  291
34.1  481
34.4  471
36.4  262

Crystal structure
```
KSe3
1.0
11.8157 0.0000 0.0000
0.0000 6.3039 0.0000
-0.0694 0.0000 8.2428
K Se
4 12
Direct
0.1402 0.0000 0.2882
0.3598 0.5000 0.7118
0.6402 0.5000 0.2882
0.8598 0.0000 0.7118
0.0566 0.6395 0.8773
0.1305 0.1712 0.6747
0.1958 0.9201 0.8657
0.3042 0.4201 0.1343
0.3695 0.6712 0.3253
0.4434 0.1395 0.1227
0.5566 0.1395 0.8773
0.6305 0.6712 0.6747
0.6958 0.4201 0.8657
0.8042 0.9201 0.1343
0.8695 0.1712 0.3253
0.9434 0.6395 0.1227
```

5.
K3Se4: simulated PXRD pattern (Cu Kα, 1.54184 Å), based on a GGA-PBE-relaxed structure.
Peak positions follow from Bragg's law for the DFT cell and can differ from measured ones.

The 10 most intense peaks (2θ = 15–90°), by angle:
two_theta  I/Imax
19.1  234
21.0  308
27.4  1000
29.6  252
33.8  129
33.9  216
37.1  149
41.3  282
41.8  224
43.8  140

Crystal structure
```
K3Se4
1.0
21.2349 0.0000 0.0000
0.0000 4.3196 0.0000
-0.2790 0.0000 5.0465
K Se
6 8
Direct
0.0000 0.0000 0.0000
0.1758 0.0000 0.2968
0.3242 0.5000 0.7032
0.5000 0.5000 0.0000
0.6758 0.5000 0.2968
0.8242 0.0000 0.7032
0.0652 0.5000 0.5314
0.1647 0.5000 0.7894
0.3353 0.0000 0.2106
0.4348 0.0000 0.4686
0.5652 0.0000 0.5314
0.6647 0.0000 0.7894
0.8353 0.5000 0.2106
0.9348 0.5000 0.4686
```

6.
K3Se5: simulated PXRD pattern (Cu Kα, 1.54184 Å), based on a GGA-PBE-relaxed structure.
Peak positions follow from Bragg's law for the DFT cell and can differ from measured ones.

The 10 most intense peaks (2θ = 15–90°), by angle:
two_theta  I/Imax
19.2  806
19.9  536
28.3  1000
29.0  931
29.3  699
29.8  579
33.9  573
37.7  553
38.2  684
38.9  613

Crystal structure
```
K3Se5
1.0
6.6433 0.0000 0.0000
2.7129 8.2633 0.0000
3.1335 0.1688 9.8863
K Se
6 10
Direct
0.0000 0.0000 0.0000
0.0229 0.5070 0.1639
0.3448 0.5257 0.4832
0.3769 0.0571 0.3334
0.6701 0.5346 0.8412
0.7435 0.0237 0.6523
0.0693 0.8166 0.2990
0.1671 0.2103 0.6912
0.1728 0.5726 0.8167
0.2742 0.9223 0.6726
0.2978 0.2858 0.8759
0.4430 0.7324 0.1460
0.5127 0.9604 0.9995
0.6014 0.3579 0.1798
0.8344 0.1887 0.3157
0.8759 0.3494 0.4800
```